This entry pairs a crystal structure of CaGe2Pd6 with its simulated powder XRD pattern. Radiation: λ = 1.5418 Å (Cu Kα). Structure: a crystal structure in Alexandria, relaxed with PBE.
No peak broadening, texture or thermal motion is included.

Main lines, low angle first (2θ = 10–90°):
hkl 0 0 1, 2θ = 10.1°, I = 48
hkl 1 1 2, 2θ = 36.4°, I = 100
hkl 2 0 0, 2θ = 42.8°, I = 61
hkl 1 1 3, 2θ = 43.4°, I = 59
hkl 2 2 0, 2θ = 62.1°, I = 20
hkl 2 0 5, 2θ = 69.8°, I = 14
hkl 3 1 2, 2θ = 74.2°, I = 24
hkl 3 1 3, 2θ = 78.8°, I = 20

Structure:
```
data_CaGe2Pd6
_chemical_formula_sum 'Ca1 Ge2 Pd6'
_symmetry_space_group_name_H-M 'P 4/m m m'
_symmetry_Int_Tables_number 123
_symmetry_space_group_name_Hall '-P 4 2'
_cell_length_a 4.2250
_cell_length_b 4.2250
_cell_length_c 8.7449
_cell_angle_alpha 90.00
_cell_angle_beta 90.00
_cell_angle_gamma 90.00
loop_
_atom_site_label
_atom_site_type_symbol
_atom_site_fract_x
_atom_site_fract_y
_atom_site_fract_z
_atom_site_occupancy
Ca1 Ca 0.0000 0.0000 0.0000 1
Ge1 Ge 0.5000 0.5000 0.1449 1
Pd1 Pd 0.0000 0.0000 0.5000 1
Pd2 Pd 0.0000 0.5000 0.2877 1
Pd3 Pd 0.5000 0.5000 0.5000 1
```